Entry 1:
Diffraction record for Ac3Pb. The X-ray powder pattern is theoretical, not measured: it uses DFT lattice parameters and positions (GGA-PBE) and Cu Kα.
Intensities are scaled so that the largest is 100.

Structural model:
Unit cell a=7.2570 b=7.2570 c=7.2570 alpha=148.35 beta=63.70 gamma=126.28
Element x y z (fractional)
1 Ac 0.0000 0.0000 0.0000
2 Ac 0.3899 0.6151 0.7748
3 Ac 0.8402 0.6151 0.2252
4 Pb 0.4550 0.9550 0.5000

Principal peaks in the range 10 to 90 degrees two-theta, low angle first:
2θ/deg	I_rel
26.3	15.5
27.2	17.0
29.0	28.9
30.1	100.0
30.9	31.5
47.5	15.9

---

Entry 2:
Diffraction record for Ac3Pb5. The X-ray powder pattern is theoretical, not measured: it uses DFT lattice parameters and positions (GGA-PBE) and Cu Kα.
Intensities are scaled so that the largest is 100.

Structural model:
Unit cell a=5.0147 b=5.0292 c=10.8767 alpha=90.00 beta=90.00 gamma=90.00
Element x y z (fractional)
1 Ac 0.0000 0.0000 0.0000
2 Ac 0.0000 0.5000 0.2803
3 Ac 0.0000 0.5000 0.7197
4 Pb 0.0000 0.0000 0.5000
5 Pb 0.5000 0.0000 0.2443
6 Pb 0.5000 0.0000 0.7557
7 Pb 0.5000 0.5000 0.0000
8 Pb 0.5000 0.5000 0.5000

Principal peaks in the range 10 to 90 degrees two-theta, low angle first:
2θ/deg	I_rel
30.1	100.0
32.9	17.6
35.7	16.7
35.8	16.5
49.4	23.2
60.8	14.3